1.
For Pm4MgSb2, a crystal structure in Alexandria, relaxed with GGA-PBE gives the computed X-ray powder pattern in this record (Cu Kα (weighted mean of Kα1 and Kα2)).
Kinematic intensities with the Lorentz-polarization factor, no thermal factor.

Top 10 peaks for 2θ = 10–90°, sorted by position:
2θ = 14.6°, intensity 25, hkl 1 0 0; 2θ = 25.6°, intensity 31, hkl 1 0 2; 2θ = 30.1°, intensity 51, hkl 1 2 0; 2θ = 30.6°, intensity 45, hkl 2 0 -2; 2θ = 31.8°, intensity 95, hkl 0 2 2; 2θ = 32.3°, intensity 54, hkl 2 1 0; 2θ = 33.3°, intensity 100, hkl 1 2 -2; 2θ = 33.6°, intensity 24, hkl 1 0 3; 2θ = 35.4°, intensity 34, hkl 1 0 -4; 2θ = 54.0°, intensity 25, hkl 0 4 0

Crystal structure
```
data_Pm4MgSb2
_chemical_formula_sum 'Pm8 Mg2 Sb4'
_symmetry_space_group_name_H-M 'P 1'
_symmetry_Int_Tables_number 1
_cell_length_a 6.2591
_cell_length_b 6.7948
_cell_length_c 10.3040
_cell_angle_alpha 90.00
_cell_angle_beta 103.80
_cell_angle_gamma 90.00
loop_
_symmetry_equiv_pos_as_xyz
'x,y,z'
loop_
_atom_site_label
_atom_site_type_symbol
_atom_site_fract_x
_atom_site_fract_y
_atom_site_fract_z
_atom_site_occupancy
Pm1 Pm 0.0174 0.0162 0.2556 1
Pm2 Pm 0.0174 0.4838 0.2556 1
Pm3 Pm 0.3464 0.7500 0.5195 1
Pm4 Pm 0.4287 0.7500 0.1438 1
Pm5 Pm 0.5713 0.2500 0.8562 1
Pm6 Pm 0.6536 0.2500 0.4805 1
Pm7 Pm 0.9826 0.5162 0.7444 1
Pm8 Pm 0.9826 0.9838 0.7444 1
Mg1 Mg 0.4658 0.7500 0.8211 1
Mg2 Mg 0.5342 0.2500 0.1789 1
Sb1 Sb 0.1277 0.2500 0.0018 1
Sb2 Sb 0.2010 0.2500 0.5500 1
Sb3 Sb 0.7990 0.7500 0.4500 1
Sb4 Sb 0.8723 0.7500 0.9982 1
```

***

2.
For Ba2Sr3Ca3, a crystal structure in Alexandria, relaxed with GGA-PBE gives the computed X-ray powder pattern in this record (Cu Kα (weighted mean of Kα1 and Kα2)).
Kinematic intensities with the Lorentz-polarization factor, no thermal factor.

Top 10 peaks for 2θ = 10–90°, sorted by position:
2θ = 15.1°, intensity 10, hkl 0 0 2; 2θ = 26.0°, intensity 100, hkl 1 1 2; 2θ = 29.9°, intensity 35, hkl 2 0 0; 2θ = 30.5°, intensity 16, hkl 0 0 4; 2θ = 42.8°, intensity 13, hkl 2 2 0; 2θ = 43.3°, intensity 24, hkl 2 0 4; 2θ = 50.7°, intensity 15, hkl 1 3 2; 2θ = 50.9°, intensity 15, hkl 3 1 2; 2θ = 51.6°, intensity 14, hkl 1 1 6; 2θ = 53.5°, intensity 13, hkl 2 2 4

Crystal structure
```
data_Ba2Sr3Ca3
_chemical_formula_sum 'Ba2 Sr3 Ca3'
_symmetry_space_group_name_H-M 'P 1'
_symmetry_Int_Tables_number 1
_cell_length_a 5.9622
_cell_length_b 5.9812
_cell_length_c 11.7053
_cell_angle_alpha 90.00
_cell_angle_beta 90.00
_cell_angle_gamma 90.00
loop_
_symmetry_equiv_pos_as_xyz
'x,y,z'
loop_
_atom_site_label
_atom_site_type_symbol
_atom_site_fract_x
_atom_site_fract_y
_atom_site_fract_z
_atom_site_occupancy
Ba1 Ba 0.0000 0.0000 0.2443 1
Ba2 Ba 0.0000 0.0000 0.7557 1
Sr1 Sr 0.0000 0.5000 0.5000 1
Sr2 Sr 0.5000 0.5000 0.2426 1
Sr3 Sr 0.5000 0.5000 0.7574 1
Ca1 Ca 0.0000 0.5000 0.0000 1
Ca2 Ca 0.5000 0.0000 0.0000 1
Ca3 Ca 0.5000 0.0000 0.5000 1
```